1.
Structure and theoretical powder diffractogram of CdHgGeTe3 (a GGA-PBE-relaxed structure; λ = 1.5418 Å (Cu Kα)).

Most intense lines, 10 to 90 degrees two-theta, low angle first:
| two_theta | Rel. int. |
| --- | --- |
| 12.56 | 20 |
| 25.77 | 21 |
| 29.62 | 24 |
| 30.04 | 21 |
| 32.42 | 100 |
| 41.55 | 17 |
| 43.42 | 19 |
| 44.84 | 14 |
| 64.19 | 9 |
| 72.73 | 10 |

Cell and atoms:
```
CdHgGeTe3
1.0
2.0841 -7.0468 0.0000
2.0841 7.0468 0.0000
0.0000 0.0000 11.8999
Cd Hg Ge Te
2 2 2 6
Direct
0.0000 0.0000 0.0000
0.0000 0.0000 0.5000
0.4824 0.5176 0.7500
0.5176 0.4824 0.2500
0.2217 0.7783 0.2500
0.7783 0.2217 0.7500
0.1268 0.8732 0.7500
0.3549 0.6451 0.5661
0.3549 0.6451 0.9339
0.6451 0.3549 0.0661
0.6451 0.3549 0.4339
0.8732 0.1268 0.2500
```

***

2.
Structure and theoretical powder diffractogram of Na4Cd2InGe (a GGA-PBE-relaxed structure; λ = 1.5418 Å (Cu Kα)).

Most intense lines, 10 to 90 degrees two-theta, low angle first:
| two_theta | Rel. int. |
| --- | --- |
| 21.36 | 70 |
| 35.07 | 100 |
| 35.54 | 48 |
| 41.01 | 13 |
| 41.84 | 24 |
| 51.14 | 16 |
| 55.37 | 10 |
| 62.60 | 17 |
| 63.52 | 33 |
| 74.10 | 10 |

Cell and atoms:
```
Na4Cd2InGe
1.0
5.0522 0.0000 0.0000
0.0000 5.0522 0.0000
0.0000 0.0000 7.3351
Na Cd In Ge
4 2 1 1
Direct
0.0000 0.0000 0.0000
0.0000 0.5000 0.7368
0.5000 0.0000 0.2632
0.5000 0.5000 0.5000
0.0000 0.5000 0.2565
0.5000 0.0000 0.7435
0.5000 0.5000 0.0000
0.0000 0.0000 0.5000
```

***

3.
Structure and theoretical powder diffractogram of CdGe2Ir2 (a GGA-PBE-relaxed structure; λ = 1.5418 Å (Cu Kα)).

Most intense lines, 10 to 90 degrees two-theta, low angle first:
| two_theta | Rel. int. |
| --- | --- |
| 25.24 | 24 |
| 26.18 | 61 |
| 27.52 | 24 |
| 28.81 | 43 |
| 37.69 | 77 |
| 43.30 | 58 |
| 44.48 | 100 |
| 53.10 | 25 |
| 59.68 | 20 |
| 81.10 | 19 |

Cell and atoms:
```
CdGe2Ir2
1.0
4.0736 0.0000 0.0000
-2.0368 3.5279 0.0000
0.0000 0.0000 12.9656
Cd Ge Ir
2 4 4
Direct
0.0000 0.0000 0.2500
0.0000 0.0000 0.7500
0.3333 0.6667 0.0691
0.3333 0.6667 0.4309
0.6667 0.3333 0.5691
0.6667 0.3333 0.9309
0.3333 0.6667 0.6243
0.3333 0.6667 0.8757
0.6667 0.3333 0.1243
0.6667 0.3333 0.3757
```

***

- Number 3 is which compound?
  CdGe2Ir2

***

- Which formula does entry 1 have?
  CdHgGeTe3